Mn3Ag4O8: calculated X-ray diffraction stick pattern (Cu Kα (λ = 1.5418 Å)), based on a structure optimized by DFT (PBE+U).

Principal peaks in the range 10 to 90 degrees two-theta, by angle:
2θ/deg	I (rel.)
29.41	29
29.53	100
29.78	60
32.71	99
35.52	87
36.93	86
40.92	42
42.07	33
42.24	33
65.62	31

Crystal structure
Cell lengths 9.0742, 9.0742, 9.0742 Å; angles 90.53, 90.53, 90.53 degrees
Fractional coordinates of all 60 atoms:
Mn 0.0000 0.5394 0.4606
Mn 0.0407 0.2906 0.2495
Mn 0.2079 0.7921 0.5000
Mn 0.2495 0.0407 0.2906
Mn 0.2906 0.2495 0.0407
Mn 0.4606 0.0000 0.5394
Mn 0.5000 0.2079 0.7921
Mn 0.5394 0.4606 0.0000
Mn 0.7094 0.9593 0.7505
Mn 0.7505 0.7094 0.9593
Mn 0.7921 0.5000 0.2079
Mn 0.9593 0.7505 0.7094
Ag 0.0000 0.0000 0.0000
Ag 0.1056 0.1141 0.7137
Ag 0.1141 0.7137 0.1056
Ag 0.1643 0.5000 0.8357
Ag 0.2847 0.3636 0.5563
Ag 0.2863 0.8859 0.8944
Ag 0.3636 0.5563 0.2847
Ag 0.4437 0.6364 0.7153
Ag 0.5000 0.8357 0.1643
Ag 0.5563 0.2847 0.3636
Ag 0.6364 0.7153 0.4437
Ag 0.7137 0.1056 0.1141
Ag 0.7153 0.4437 0.6364
Ag 0.8357 0.1643 0.5000
Ag 0.8859 0.8944 0.2863
Ag 0.8944 0.2863 0.8859
O 0.0092 0.5104 0.2416
O 0.0255 0.3288 0.4588
O 0.0421 0.0813 0.2781
O 0.0813 0.2781 0.0421
O 0.1706 0.7764 0.7083
O 0.2071 0.5813 0.4706
O 0.2236 0.8294 0.2917
O 0.2416 0.0092 0.5104
O 0.2602 0.2602 0.2602
O 0.2781 0.0421 0.0813
O 0.2917 0.2236 0.8294
O 0.3288 0.4588 0.0255
O 0.4187 0.7929 0.5294
O 0.4588 0.0255 0.3288
O 0.4706 0.2071 0.5813
O 0.4896 0.9908 0.7584
O 0.5104 0.2416 0.0092
O 0.5294 0.4187 0.7929
O 0.5412 0.6712 0.9745
O 0.5813 0.4706 0.2071
O 0.6712 0.9745 0.5412
O 0.7083 0.1706 0.7764
O 0.7219 0.9187 0.9579
O 0.7398 0.7398 0.7398
O 0.7584 0.4896 0.9908
O 0.7764 0.7083 0.1706
O 0.7929 0.5294 0.4187
O 0.8294 0.2917 0.2236
O 0.9187 0.9579 0.7219
O 0.9579 0.7219 0.9187
O 0.9745 0.5412 0.6712
O 0.9908 0.7584 0.4896